1.
The following is a computed powder X-ray diffraction pattern of V5FePbO11. It was derived from a cell relaxed with PBE+U, using Cu Kα X-rays.
Peak positions follow from Bragg's law for the DFT cell and can differ from measured ones.

The 8 most intense peaks (10 to 80 degrees two-theta), sorted by position:
| two_theta | Rel. int. | h k l |
| --- | --- | --- |
| 18.53 | 54 | 1 1 1 |
| 26.76 | 34 | 0 0 4 |
| 29.79 | 58 | 1 3 0 |
| 32.04 | 63 | 1 1 4 |
| 32.75 | 100 | 1 3 2 |
| 33.27 | 48 | 2 0 2 |
| 37.58 | 35 | 2 2 2 |
| 40.62 | 47 | 2 2 3 |

Atomic structure:
```
data_V5FePbO11
_chemical_formula_sum 'V20 Fe4 Pb4 O44'
_cell_length_a 5.8874
_cell_length_b 10.4550
_cell_length_c 13.3249
_cell_angle_alpha 90.00
_cell_angle_beta 90.00
_cell_angle_gamma 90.00
_space_group_name_H-M_alt 'C m c 21'
_space_group_IT_number 36
loop_
_space_group_symop_operation_xyz
'x,y,z'
'-x,-y,z+1/2'
'-x,y,z'
'x,-y,z+1/2'
'x+1/2,y+1/2,z'
'-x+1/2,-y+1/2,z+1/2'
'-x+1/2,y+1/2,z'
'x+1/2,-y+1/2,z+1/2'
loop_
_atom_site_label
_atom_site_fract_x
_atom_site_fract_y
_atom_site_fract_z
V1 0.0000 0.0004 0.0000
V2 0.0000 0.3315 0.0907
V3 0.0000 0.4986 0.8523
V4 0.2389 0.2514 0.3519
Fe1 0.0000 0.0049 0.7089
Pb1 0.0000 0.3380 0.6284
O1 0.0000 0.1630 0.0960
O2 0.0000 0.1704 0.4288
O3 0.0000 0.1879 0.7742
O4 0.0000 0.3364 0.9373
O5 0.0000 0.3407 0.2640
O6 0.2289 0.4106 0.7718
O7 0.2358 0.0734 0.5970
O8 0.2394 0.4173 0.4248
```


2.
The following is a computed powder X-ray diffraction pattern of PrFeO3. It was derived from a cell relaxed with PBE+U, using Cu Kα X-rays.
Peak positions follow from Bragg's law for the DFT cell and can differ from measured ones.

The 8 most intense peaks (10 to 80 degrees two-theta), sorted by position:
| two_theta | Rel. int. | h k l |
| --- | --- | --- |
| 22.39 | 15 | 1 0 1 |
| 31.40 | 21 | 2 0 0 |
| 31.95 | 100 | 1 2 1 |
| 32.33 | 24 | 0 0 2 |
| 45.69 | 23 | 2 0 2 |
| 45.93 | 15 | 0 4 0 |
| 57.42 | 22 | 1 2 3 |
| 66.78 | 15 | 2 4 2 |

Atomic structure:
```
data_PrFeO3
_chemical_formula_sum 'Pr4 Fe4 O12'
_cell_length_a 5.6972
_cell_length_b 7.9027
_cell_length_c 5.5383
_cell_angle_alpha 90.00
_cell_angle_beta 90.00
_cell_angle_gamma 90.00
_space_group_name_H-M_alt 'P n m a'
_space_group_IT_number 62
loop_
_space_group_symop_operation_xyz
'x,y,z'
'-x,-y,-z'
'-x+1/2,-y,z+1/2'
'x+1/2,y,-z+1/2'
'x+1/2,-y+1/2,-z+1/2'
'-x+1/2,y+1/2,z+1/2'
'-x,y+1/2,-z'
'x,-y+1/2,z'
loop_
_atom_site_label
_atom_site_fract_x
_atom_site_fract_y
_atom_site_fract_z
Pr1 0.0522 0.2500 0.0129
Fe1 0.0000 0.0000 0.5000
O1 0.0259 0.7500 0.4097
O2 0.2061 0.5482 0.7937
```